Structure and computed powder X-ray diffraction pattern of Mo3Ir2N (a crystal structure in Alexandria, relaxed with GGA-PBE; Cu Kα X-rays).
Intensities are scaled so that the largest is 100.

```
data_Mo3Ir2N
_symmetry_space_group_name_H-M 'P 41 3 2'
_symmetry_Int_Tables_number 213
_symmetry_space_group_name_Hall 'P 4bd 2ab 3'
_cell_length_a 6.864
_cell_length_b 6.864
_cell_length_c 6.864
_cell_angle_alpha 90.00
_cell_angle_beta 90.00
_cell_angle_gamma 90.00
loop_
_atom_site_label
_atom_site_type_symbol
_atom_site_fract_x
_atom_site_fract_y
_atom_site_fract_z
Mo1 Mo 0.048 0.125 0.798
Ir1 Ir 0.059 0.941 0.441
N1 N 0.125 0.375 0.625
```

Main lines, in order of rising 2θ (2θ = 5–70°):
d 4.854, intensity 16, hkl 1 1 0; d 3.963, intensity 16, hkl 1 1 1; d 2.427, intensity 11, hkl 2 2 0; d 2.288, intensity 100, hkl 2 2 1; d 2.171, intensity 52, hkl 3 1 0; d 2.070, intensity 35, hkl 3 1 1; d 1.904, intensity 6, hkl 3 2 0; d 1.834, intensity 22, hkl 3 2 1; d 1.665, intensity 9, hkl 4 1 0; d 1.346, intensity 36, hkl 4 3 1